(1)
Starting from a cell relaxed with GGA-PBE, the X-ray powder pattern of Ba3Mg4Ga4 was calculated for Cu Kα.
Peak positions follow from Bragg's law for the DFT cell and can differ from measured ones.

Cell and atoms:
```
Ba3Mg4Ga4
1.0
-2.4665 3.8956 8.1976
2.4665 -3.8956 8.1976
2.4665 3.8956 -8.1976
Ba Mg Ga
3 4 4
Direct
0.0000 0.0000 0.0000 Ba
0.3697 0.8697 0.5000 Ba
0.6303 0.1303 0.5000 Ba
0.0227 0.3300 0.6928 Mg
0.3628 0.6700 0.6928 Mg
0.6372 0.3300 0.3072 Mg
0.9773 0.6700 0.3072 Mg
0.2174 0.2174 0.0000 Ga
0.3330 0.5000 0.8330 Ga
0.6670 0.5000 0.1670 Ga
0.7826 0.7826 0.0000 Ga
```

Peak list (10 most intense, 2θ from 10° to 80°, in order of falling intensity)
- d 2.922, intensity 100
- d 3.005, intensity 65
- d 2.466, intensity 29
- d 3.896, intensity 23
- d 3.022, intensity 21
- d 2.346, intensity 19
- d 1.700, intensity 14
- d 2.036, intensity 13
- d 1.498, intensity 13
- d 1.801, intensity 12

***

(2)
Starting from a cell relaxed with GGA-PBE, the X-ray powder pattern of Ba2MgGa3 was calculated for Cu Kα.
Peak positions follow from Bragg's law for the DFT cell and can differ from measured ones.

Cell and atoms:
```
Ba2MgGa3
1.0
4.4388 0.0000 0.0000
0.0000 5.0746 0.0000
0.0000 0.0000 16.4440
Ba Mg Ga
4 2 6
Direct
0.0000 0.0000 0.0000 Ba
0.0000 0.5000 0.2682 Ba
0.5000 0.0000 0.7682 Ba
0.5000 0.5000 0.5000 Ba
0.0000 0.0000 0.5938 Mg
0.5000 0.5000 0.0938 Mg
0.0000 0.0000 0.4201 Ga
0.0000 0.5000 0.6796 Ga
0.0000 0.5000 0.8412 Ga
0.5000 0.0000 0.1796 Ga
0.5000 0.0000 0.3412 Ga
0.5000 0.5000 0.9201 Ga
```

Peak list (10 most intense, 2θ from 10° to 80°, in order of falling intensity)
- d 3.095, intensity 100
- d 2.760, intensity 35
- d 2.537, intensity 25
- d 2.076, intensity 20
- d 3.724, intensity 19
- d 2.643, intensity 18
- d 1.607, intensity 17
- d 2.219, intensity 17
- d 1.730, intensity 17
- d 3.450, intensity 16

***

(3)
Starting from a cell relaxed with GGA-PBE, the X-ray powder pattern of BaMg6Ga2 was calculated for Cu Kα.
Peak positions follow from Bragg's law for the DFT cell and can differ from measured ones.

Cell and atoms:
```
BaMg6Ga2
1.0
4.6684 0.0000 0.0000
0.0000 4.6684 0.0000
0.0000 0.0000 10.2430
Ba Mg Ga
1 6 2
Direct
0.0000 0.0000 0.0000 Ba
0.0000 0.0000 0.5000 Mg
0.0000 0.5000 0.2878 Mg
0.0000 0.5000 0.7122 Mg
0.5000 0.0000 0.2878 Mg
0.5000 0.0000 0.7122 Mg
0.5000 0.5000 0.5000 Mg
0.5000 0.5000 0.1291 Ga
0.5000 0.5000 0.8709 Ga
```

Peak list (10 most intense, 2θ from 10° to 80°, in order of falling intensity)
- d 2.775, intensity 100
- d 3.142, intensity 82
- d 2.756, intensity 81
- d 2.334, intensity 80
- d 2.245, intensity 59
- d 3.301, intensity 57
- d 3.450, intensity 48
- d 1.781, intensity 44
- d 1.618, intensity 42
- d 1.651, intensity 27

***

(4)
Starting from a cell relaxed with GGA-PBE, the X-ray powder pattern of BaNdMgGa was calculated for Cu Kα.
Peak positions follow from Bragg's law for the DFT cell and can differ from measured ones.

Cell and atoms:
```
BaNdMgGa
1.0
7.9478 0.0000 0.0000
0.0000 7.9478 0.0000
0.0000 0.0000 7.9478
Ba Nd Mg Ga
4 4 4 4
Direct
0.0000 0.0000 0.0000 Ba
0.0000 0.5000 0.5000 Ba
0.5000 0.0000 0.5000 Ba
0.5000 0.5000 0.0000 Ba
0.0000 0.0000 0.5000 Nd
0.0000 0.5000 0.0000 Nd
0.5000 0.0000 0.0000 Nd
0.5000 0.5000 0.5000 Nd
0.2500 0.2500 0.2500 Mg
0.2500 0.7500 0.7500 Mg
0.7500 0.2500 0.7500 Mg
0.7500 0.7500 0.2500 Mg
0.2500 0.2500 0.7500 Ga
0.2500 0.7500 0.2500 Ga
0.7500 0.2500 0.2500 Ga
0.7500 0.7500 0.7500 Ga
```

Peak list (10 most intense, 2θ from 10° to 80°, in order of falling intensity)
- d 2.810, intensity 100
- d 1.622, intensity 38
- d 3.974, intensity 27
- d 1.987, intensity 18
- d 1.257, intensity 16
- d 1.405, intensity 12
- d 1.777, intensity 12
- d 2.294, intensity 8
- d 1.325, intensity 6
- d 4.589, intensity 4